1.
For Li9Mn2Co5O16, a GGA+U-relaxed structure gives the theoretical powder X-ray diffraction pattern in this record (Cu Ka).

```
Li9Mn2Co5O16
1.0
5.1660 -2.9078 0.0000
5.1660 2.9078 0.0000
-1.6499 0.0000 9.5721
Li Mn Co O
9 2 5 16
Cartesian
0.0000 0.0000 0.0000
0.9309 1.4510 9.5676
0.0170 0.0000 7.2433
4.3393 1.4578 4.7860
3.4571 0.0000 2.3538
0.9309 -1.4510 9.5676
5.2414 0.0000 7.2217
4.3393 -1.4578 4.7860
8.6377 0.0000 2.2682
1.7396 0.0000 4.7930
3.5037 0.0000 9.5655
2.6761 1.4988 7.2406
6.0014 1.4769 2.3278
2.6761 -1.4988 7.2406
6.9633 0.0000 4.7645
6.0014 -1.4769 2.3278
2.5115 1.4044 3.6871
0.1459 0.0000 3.6345
1.6603 0.0000 1.3461
4.4048 1.3722 1.1560
4.2646 1.3553 8.3855
1.9093 0.0000 8.4497
3.2941 0.0000 5.9871
6.1709 1.4973 5.8893
2.5115 -1.4044 3.6871
5.3300 0.0000 3.5026
6.7741 0.0000 1.1164
4.4048 -1.3722 1.1560
4.2646 -1.3553 8.3855
6.9860 0.0000 8.2032
8.5929 0.0000 5.9999
6.1709 -1.4973 5.8893
```

Principal peaks in the range 2θ from 10° to 90°, sorted by position:
- 18.30°, I 100.0
- 35.66°, I 13.9
- 36.14°, I 26.0
- 37.59°, I 11.1
- 42.99°, I 28.4
- 43.81°, I 54.0
- 47.47°, I 9.2
- 57.68°, I 9.9
- 62.71°, I 15.2
- 63.37°, I 21.9
- 64.04°, I 7.5
- 80.25°, I 9.7



2.
For LiMo2AsO9, a GGA+U-relaxed structure gives the theoretical powder X-ray diffraction pattern in this record (Cu Ka).

```
LiMo2AsO9
1.0
5.5437 0.0000 0.0000
0.0000 7.7293 0.0000
0.0000 0.0000 9.1057
Li Mo As O
2 4 2 18
Cartesian
1.3859 1.9323 0.9670
4.1578 5.7970 8.1387
1.3859 0.3114 6.9133
1.3859 3.5533 6.9133
4.1578 4.1760 2.1924
4.1578 7.4180 2.1924
1.3859 5.7970 4.1658
4.1578 1.9323 4.9399
0.0313 4.3890 7.5891
0.0313 7.2050 7.5891
0.0442 1.9323 5.8739
1.3859 1.9323 8.0190
1.3859 4.3394 5.0866
1.3859 7.2546 5.0866
2.7276 1.9323 5.8739
2.7406 4.3890 7.5891
2.7406 7.2050 7.5891
2.8032 0.5244 1.5166
2.8032 3.3403 1.5166
2.8161 5.7970 3.2318
4.1578 0.4747 4.0192
4.1578 3.3899 4.0192
4.1578 5.7970 1.0867
5.4995 5.7970 3.2318
5.5124 0.5244 1.5166
5.5124 3.3403 1.5166
```

Principal peaks in the range 2θ from 10° to 90°, sorted by position:
- 15.03°, I 23.8
- 18.74°, I 100.0
- 19.50°, I 23.4
- 22.01°, I 37.6
- 27.86°, I 27.9
- 29.84°, I 57.1
- 30.34°, I 41.0
- 32.30°, I 16.3
- 33.66°, I 24.5
- 44.90°, I 21.7
- 46.24°, I 17.7
- 58.45°, I 20.7